Simulated X-ray powder pattern
Compound: Eu6Ni20P13
Radiation: Cu Kα, 1.54184 Å
Structure: DFT lattice parameters and positions (GGA-PBE)
No peak broadening, texture or thermal motion is included.

Cell and atoms:
Unit cell a=12.8097 b=12.8097 c=3.8155 alpha=90.00 beta=90.00 gamma=120.00
Element x y z (fractional)
Eu 0.0517 0.8530 0.0000
Eu 0.1470 0.1988 0.0000
Eu 0.5203 0.1357 0.5000
Eu 0.6155 0.4797 0.5000
Eu 0.8012 0.9483 0.0000
Eu 0.8643 0.3845 0.5000
Ni 0.0000 0.0000 0.5000
Ni 0.0209 0.5975 0.0000
Ni 0.0931 0.3495 0.5000
Ni 0.1398 0.5619 0.5000
Ni 0.2564 0.9069 0.5000
Ni 0.2567 0.7361 0.0000
Ni 0.2639 0.5206 0.0000
Ni 0.3094 0.0786 0.0000
Ni 0.3569 0.2502 0.5000
Ni 0.4025 0.4234 0.0000
Ni 0.4221 0.8602 0.5000
Ni 0.4381 0.5779 0.5000
Ni 0.4794 0.7433 0.0000
Ni 0.5766 0.9791 0.0000
Ni 0.6505 0.7436 0.5000
Ni 0.6667 0.3333 0.0000
Ni 0.7498 0.1067 0.5000
Ni 0.7693 0.6906 0.0000
Ni 0.8933 0.6431 0.5000
Ni 0.9214 0.2307 0.0000
P 0.0604 0.4352 0.0000
P 0.0980 0.7101 0.5000
P 0.1996 0.0514 0.5000
P 0.2899 0.3879 0.5000
P 0.3333 0.6667 0.5000
P 0.3748 0.9396 0.0000
P 0.4655 0.2805 0.0000
P 0.5648 0.6252 0.0000
P 0.6121 0.9020 0.5000
P 0.7195 0.1850 0.0000
P 0.8150 0.5345 0.0000
P 0.8518 0.8004 0.5000
P 0.9486 0.1482 0.5000

Largest 8 diffraction maxima, low angle first, 10° ≤ 2θ ≤ 90°:
two_theta, I/Imax
36.64, 20.7
37.14, 14.6
37.55, 100.0
45.53, 12.0
47.67, 22.5
51.44, 17.7
57.20, 13.8
72.74, 12.2

Simulated X-ray powder pattern
Compound: EuNi5P3
Radiation: Cu Kα, 1.54184 Å
Structure: DFT lattice parameters and positions (GGA-PBE)
No peak broadening, texture or thermal motion is included.

Cell and atoms:
Unit cell a=6.1224 b=6.1224 c=11.5146 alpha=90.00 beta=90.00 gamma=145.81
Element x y z (fractional)
Eu 0.1606 0.8394 0.7500
Eu 0.8394 0.1606 0.2500
Ni 0.0000 0.0000 0.0000
Ni 0.0000 0.0000 0.5000
Ni 0.1985 0.8015 0.0685
Ni 0.1985 0.8015 0.4315
Ni 0.4485 0.5515 0.6449
Ni 0.4485 0.5515 0.8551
Ni 0.5515 0.4485 0.1449
Ni 0.5515 0.4485 0.3551
Ni 0.8015 0.1985 0.5685
Ni 0.8015 0.1985 0.9315
P 0.1170 0.8830 0.2500
P 0.3819 0.6181 0.0404
P 0.3819 0.6181 0.4596
P 0.6181 0.3819 0.5404
P 0.6181 0.3819 0.9596
P 0.8830 0.1170 0.7500

Largest 8 diffraction maxima, low angle first, 10° ≤ 2θ ≤ 90°:
two_theta, I/Imax
27.80, 46.0
31.55, 33.1
33.88, 58.9
35.02, 100.0
37.41, 67.2
40.87, 69.0
46.26, 29.6
50.72, 47.1